No. 1
Structure and computed powder diffraction line list of BaTl9Hg2 (a cell relaxed with PBE; Cu Kα, 1.54184 Å).
Kinematic intensities with the Lorentz-polarization factor, no thermal factor.

Cell: 13.3446 13.3446 8.6814 Å, 90.00 90.00 90.00°
Space group I4_1/amd (No. 141, origin choice 2)
Unique sites:
Ba: 0.0000 0.2500 0.3750
Tl: 0.0000 0.2500 0.8750
Tl: 0.1229 0.0513 0.6726
Hg: 0.0000 0.0000 0.0000

Largest 10 diffraction maxima, sorted by position, 10 to 90 degrees two-theta:
Position (°2θ)  d/Å  I (rel.)  (hkl)
26.2  3.405  18  3 2 1
29.5  3.026  71  3 1 2
29.9  2.984  44  4 2 0
31.6  2.828  22  1 0 3
34.4  2.604  32  2 1 3
35.2  2.551  100  5 0 1
36.5  2.459  31  4 2 2
52.9  1.731  23  5 5 2
56.6  1.626  18  7 4 1
62.2  1.492  16  8 4 0



No. 2
Structure and computed powder diffraction line list of BaTmHg (a cell relaxed with PBE; Cu Kα, 1.54184 Å).
Kinematic intensities with the Lorentz-polarization factor, no thermal factor.

Cell: 3.9284 3.9284 13.6954 Å, 90.00 90.00 90.00°
Space group I4mm (No. 107)
Unique sites:
Ba: 0.0000 0.0000 0.0000
Tm: 0.0000 0.0000 0.2745
Hg: 0.0000 0.0000 0.6820

Largest 10 diffraction maxima, sorted by position, 10 to 90 degrees two-theta:
Position (°2θ)  d/Å  I (rel.)  (hkl)
12.9  6.848  36  0 0 2
26.0  3.424  15  0 0 4
30.0  2.978  100  1 0 3
32.2  2.778  62  1 1 0
40.1  2.247  21  1 0 5
41.9  2.157  17  1 1 4
46.2  1.964  23  2 0 0
52.2  1.751  22  1 0 7
56.1  1.640  35  2 1 3
72.3  1.307  17  2 1 7



No. 3
Structure and computed powder diffraction line list of Ba2V2Hg (a cell relaxed with PBE; Cu Kα, 1.54184 Å).
Kinematic intensities with the Lorentz-polarization factor, no thermal factor.

Cell: 7.5501 7.5501 5.2742 Å, 90.00 90.00 90.00°
Space group P4/mbm (No. 127)
Unique sites:
Ba: 0.1999 0.3001 0.0000
V: 0.0869 0.5869 0.5000
Hg: 0.0000 0.0000 0.5000

Largest 10 diffraction maxima, sorted by position, 10 to 90 degrees two-theta:
Position (°2θ)  d/Å  I (rel.)  (hkl)
23.7  3.752  17  1 1 1
29.1  3.070  100  2 0 1
31.5  2.844  29  2 1 1
33.6  2.669  25  2 2 0
34.0  2.637  25  0 0 2
37.7  2.387  18  3 1 0
48.5  1.876  18  2 2 2
51.6  1.770  14  3 1 2
54.4  1.686  13  3 3 1
57.9  1.594  14  2 0 3



No. 4
Structure and computed powder diffraction line list of BaZnHg (a cell relaxed with PBE; Cu Kα, 1.54184 Å).
Kinematic intensities with the Lorentz-polarization factor, no thermal factor.

Cell: 6.6000 6.8795 8.8940 Å, 90.00 114.61 90.00°
Space group P2_1/c (No. 14)
Unique sites:
Ba: 0.2030 0.1472 0.3764
Zn: 0.3859 0.5995 0.2850
Hg: 0.2369 0.6337 0.5364

Largest 10 diffraction maxima, sorted by position, 10 to 90 degrees two-theta:
Position (°2θ)  d/Å  I (rel.)  (hkl)
16.9  5.240  24  0 1 1
25.6  3.486  31  0 1 2
28.7  3.107  23  2 0 -2
29.7  3.006  100  2 0 0
31.6  2.831  35  2 1 -2
32.9  2.721  33  1 1 -3
34.1  2.629  78  1 2 1
42.9  2.108  16  1 1 -4
53.3  1.720  15  0 4 0
61.1  1.516  16  3 1 2



No. 5
Structure and computed powder diffraction line list of BaZnHg2 (a cell relaxed with PBE; Cu Kα, 1.54184 Å).
Kinematic intensities with the Lorentz-polarization factor, no thermal factor.

Cell: 8.6001 4.9384 6.2809 Å, 90.00 116.69 90.00°
Space group Cm (No. 8)
Unique sites:
Ba: 0.0000 0.0000 0.0000
Zn: 0.2067 0.0000 0.6168
Hg: 0.0429 0.5000 0.6265
Hg: 0.2866 0.5000 0.3607

Largest 10 diffraction maxima, sorted by position, 10 to 90 degrees two-theta:
Position (°2θ)  d/Å  I (rel.)  (hkl)
15.8  5.612  37  0 0 1
21.4  4.156  47  1 1 0
29.7  3.008  100  1 1 1
29.8  2.996  49  2 0 -2
33.7  2.662  30  2 0 1
33.9  2.642  59  1 1 -2
36.2  2.479  99  3 1 -1
36.4  2.469  49  0 2 0
47.7  1.905  27  2 2 -2
61.4  1.511  26  1 3 1



No. 6
Structure and computed powder diffraction line list of BaZr2Hg2 (a cell relaxed with PBE; Cu Kα, 1.54184 Å).
Kinematic intensities with the Lorentz-polarization factor, no thermal factor.

Cell: 8.9305 8.9305 3.2522 Å, 90.00 90.00 90.00°
Space group P4/mbm (No. 127)
Unique sites:
Ba: 0.0000 0.0000 0.0000
Zr: 0.1175 0.3825 0.0000
Hg: 0.1774 0.6774 0.5000

Largest 10 diffraction maxima, sorted by position, 10 to 90 degrees two-theta:
Position (°2θ)  d/Å  I (rel.)  (hkl)
22.3  3.994  23  2 1 0
28.3  3.157  22  2 2 0
31.7  2.824  61  3 1 0
34.1  2.629  52  2 0 1
35.6  2.522  100  2 1 1
41.7  2.166  27  4 1 0
50.6  1.803  24  4 1 1
51.7  1.767  21  3 3 1
60.0  1.542  19  5 1 1
66.3  1.409  15  3 1 2



No. 7
Structure and computed powder diffraction line list of Ba5Ho (a cell relaxed with PBE; Cu Kα, 1.54184 Å).
Kinematic intensities with the Lorentz-polarization factor, no thermal factor.

Cell: 6.8541 20.5922 4.6614 Å, 90.00 90.00 90.00°
Space group Cmmm (No. 65)
Unique sites:
Ba: 0.0000 0.0000 0.0000
Ba: 0.0000 0.1722 0.5000
Ba: 0.0000 0.3509 0.0000
Ho: 0.0000 0.5000 0.5000

Largest 10 diffraction maxima, sorted by position, 10 to 90 degrees two-theta:
Position (°2θ)  d/Å  I (rel.)  (hkl)
26.0  3.429  51  2 0 0
26.5  3.361  100  1 3 1
37.1  2.425  18  2 6 0
38.6  2.331  10  0 0 2
46.2  1.966  38  3 3 1
47.1  1.928  20  2 0 2
54.6  1.680  12  2 6 2
60.6  1.527  7  3 9 1
62.8  1.480  9  1 3 3
75.2  1.263  9  3 3 3



No. 8
Structure and computed powder diffraction line list of BaHo2 (a cell relaxed with PBE; Cu Kα, 1.54184 Å).
Kinematic intensities with the Lorentz-polarization factor, no thermal factor.

Cell: 9.9814 9.9814 9.9814 Å, 90.00 90.00 90.00°
Space group Fd-3m (No. 227, origin choice 2)
Unique sites:
Ba: 0.1250 0.1250 0.1250
Ho: 0.0000 0.0000 0.5000

Largest 10 diffraction maxima, sorted by position, 10 to 90 degrees two-theta:
Position (°2θ)  d/Å  I (rel.)  (hkl)
15.4  5.763  12  1 1 1
25.2  3.529  20  2 2 0
29.7  3.010  100  3 1 1
31.0  2.881  48  2 2 2
47.3  1.921  37  5 1 1
51.8  1.764  34  4 4 0
60.9  1.522  13  5 3 3
61.6  1.505  20  6 2 2
72.8  1.299  23  7 3 1
84.0  1.153  13  7 5 1